1.
This entry pairs a crystal structure of TbYAg2Se4 with its theoretical powder diffractogram. Radiation: Cu Kα (λ = 1.5418 Å). Structure: a structure optimized by DFT (PBE).
Peak positions follow from Bragg's law for the DFT cell and can differ from measured ones.

Crystal structure
Lattice parameters (Å, degrees): 9.5750 9.5767 4.3238 90.00 90.00 90.00
Positions (direct):
Tb: 0.0000 0.0000 0.0000
Tb: 0.5000 0.5000 0.0000
Y: 0.0000 0.5000 0.5921
Y: 0.5000 0.0000 0.5921
Ag: 0.2500 0.2500 0.7961
Ag: 0.2500 0.7500 0.7961
Ag: 0.7500 0.2500 0.7961
Ag: 0.7500 0.7500 0.7961
Se: 0.0000 0.2982 0.0792
Se: 0.0000 0.7018 0.0792
Se: 0.2021 0.0000 0.5131
Se: 0.2979 0.5000 0.5131
Se: 0.5000 0.2018 0.0792
Se: 0.5000 0.7982 0.0792
Se: 0.7021 0.5000 0.5131
Se: 0.7979 0.0000 0.5131

Main lines, in order of falling intensity (2θ = 5–70°):
d [Å], intensity
3.209, 100.0
2.394, 95.1
2.480, 89.0
2.666, 69.1
2.001, 54.6
1.970, 50.0
4.324, 26.9
3.028, 26.5
3.644, 26.4
1.521, 26.2

2.
This entry pairs a crystal structure of TbNdSi3Au with its theoretical powder diffractogram. Radiation: Cu Kα (λ = 1.5418 Å). Structure: a structure optimized by DFT (PBE).
Peak positions follow from Bragg's law for the DFT cell and can differ from measured ones.

Crystal structure
Lattice parameters (Å, degrees): 8.2900 8.2504 5.9110 69.42 68.70 41.88
Positions (direct):
Tb: 0.2419 0.7581 0.2419
Tb: 0.7581 0.2419 0.7581
Nd: 0.2500 0.2500 0.2500
Nd: 0.7500 0.7500 0.7500
Si: 0.1631 0.1631 0.8369
Si: 0.1646 0.6725 0.8354
Si: 0.3275 0.8354 0.6725
Si: 0.6725 0.1646 0.3275
Si: 0.8354 0.3275 0.1646
Si: 0.8369 0.8369 0.1631
Au: 0.3354 0.3354 0.6646
Au: 0.6646 0.6646 0.3354

Main lines, in order of falling intensity (2θ = 5–70°):
d [Å], intensity
2.728, 100.0
2.063, 26.0
3.706, 22.8
1.475, 17.6
1.648, 15.3
2.070, 15.1
2.109, 13.8
3.577, 13.1
5.460, 10.1
1.477, 8.9

3.
This entry pairs a crystal structure of Ga2PtI4Cl4 with its theoretical powder diffractogram. Radiation: Cu Kα (λ = 1.5418 Å). Structure: a structure optimized by DFT (PBE).
Peak positions follow from Bragg's law for the DFT cell and can differ from measured ones.

Crystal structure
Lattice parameters (Å, degrees): 7.9483 7.9483 7.5525 93.37 93.37 67.46
Positions (direct):
Ga: 0.2207 0.2207 0.3406
Ga: 0.7793 0.7793 0.6594
Pt: 0.0000 0.0000 0.0000
I: 0.0951 0.6765 0.8409
I: 0.3235 0.9049 0.1591
I: 0.6765 0.0951 0.8409
I: 0.9049 0.3235 0.1591
Cl: 0.1916 0.1916 0.6198
Cl: 0.3799 0.3799 0.2945
Cl: 0.6201 0.6201 0.7055
Cl: 0.8084 0.8084 0.3802

Main lines, in order of falling intensity (2θ = 5–70°):
d [Å], intensity
5.145, 100.0
5.362, 78.2
7.336, 72.1
3.248, 65.2
7.534, 43.7
2.576, 38.7
3.375, 36.9
2.183, 34.4
2.641, 33.5
1.934, 25.0